Record 1
This entry pairs a crystal structure of Ce2SmPuSb5 with its theoretical powder diffraction line list. Radiation: Cu Kα (λ = 1.5418 Å). Structure: a PBE-relaxed structure.
Neutral-atom scattering factors, no anomalous dispersion.

Cell and atoms:
a b c (Å): 5.4280 5.4280 11.5822
angles (deg): 90.00 90.00 90.00
Space group P4/mmm (No. 123)
Inequivalent atoms, fractional coordinates:
Ce  0.0000  0.0000  0.1964
Sm  0.5000  0.5000  0.0000
Pu  0.5000  0.5000  0.5000
Sb  0.0000  0.0000  0.5000
Sb  0.0000  0.5000  0.0000
Sb  0.5000  0.5000  0.2515

The 6 most intense peaks (10° ≤ 2θ ≤ 90°), in order of falling intensity:
2theta	d [Å]	I (rel.)
33.0	2.717	100
23.2	3.838	59
45.8	1.980	36
30.9	2.896	26
47.4	1.919	23
24.4	3.643	22

Record 2
This entry pairs a crystal structure of Ce2PuSc6 with its theoretical powder diffraction line list. Radiation: Cu Kα (λ = 1.5418 Å). Structure: a PBE-relaxed structure.
Neutral-atom scattering factors, no anomalous dispersion.

Cell and atoms:
a b c (Å): 5.2050 19.7087 9.0563
angles (deg): 90.00 90.00 90.00
Space group Imma (No. 74)
Inequivalent atoms, fractional coordinates:
Ce  0.0000  0.0402  0.1221
Pu  0.0000  0.2500  0.6523
Sc  0.0000  0.0758  0.6282
Sc  0.0000  0.1708  0.3443
Sc  0.0000  0.1714  0.9497

The 6 most intense peaks (10° ≤ 2θ ≤ 90°), in order of falling intensity:
2theta	d [Å]	I (rel.)
34.7	2.582	100
21.7	4.103	50
16.7	5.318	44
35.6	2.524	40
34.5	2.602	36
10.8	8.229	29

Record 3
This entry pairs a crystal structure of Ce2Pu2Sc with its theoretical powder diffraction line list. Radiation: Cu Kα (λ = 1.5418 Å). Structure: a PBE-relaxed structure.
Neutral-atom scattering factors, no anomalous dispersion.

Cell and atoms:
a b c (Å): 8.3830 7.6420 8.1955
angles (deg): 90.00 100.69 90.00
Space group C2/c (No. 15)
Inequivalent atoms, fractional coordinates:
Ce  0.2136  0.0264  0.0007
Pu  0.1033  0.2883  0.6282
Sc  0.0000  0.2748  0.2500

The 6 most intense peaks (10° ≤ 2θ ≤ 90°), in order of falling intensity:
2theta	d [Å]	I (rel.)
20.4	4.349	100
35.2	2.549	67
33.9	2.645	63
36.7	2.449	63
34.6	2.596	52
31.9	2.801	40

> Number 3 is which compound?

Ce2Pu2Sc